Record 1
This entry pairs a crystal structure of Mn2Zn3Pt4 with its simulated powder diffractogram. Radiation: CuKα. Structure: a PBE-relaxed structure.
Lines closer than 0.1° are merged.

Peak list (6 most intense, 5° ≤ 2θ ≤ 70°, by angle)
2theta	I/Imax
28.3	32
40.0	100
40.4	95
45.2	71
49.8	25
65.8	23

Cell and atoms:
Lattice parameters (Å, degrees): 4.613 4.613 8.192 102.50 102.50 51.61
Fractional coordinates of all 9 atoms:
Mn  0.174  0.174  0.221
Mn  0.826  0.826  0.779
Zn  0.159  0.159  0.555
Zn  0.500  0.500  0.000
Zn  0.841  0.841  0.445
Pt  0.164  0.164  0.887
Pt  0.484  0.484  0.668
Pt  0.516  0.516  0.332
Pt  0.836  0.836  0.113

=====

Record 2
This entry pairs a crystal structure of ErThFeRu with its simulated powder diffractogram. Radiation: CuKα. Structure: a PBE-relaxed structure.
Lines closer than 0.1° are merged.

Peak list (6 most intense, 5° ≤ 2θ ≤ 70°, by angle)
2theta	I/Imax
25.9	20
36.9	100
45.6	6
53.1	18
60.0	9
66.4	36

Cell and atoms:
Lattice parameters (Å, degrees): 6.893 6.893 6.893 90.00 90.00 90.00
Fractional coordinates of all 16 atoms:
Er  0.000  0.000  0.000
Er  0.000  0.500  0.500
Er  0.500  0.000  0.500
Er  0.500  0.500  0.000
Th  0.000  0.000  0.500
Th  0.000  0.500  0.000
Th  0.500  0.000  0.000
Th  0.500  0.500  0.500
Fe  0.250  0.250  0.750
Fe  0.250  0.750  0.250
Fe  0.750  0.250  0.250
Fe  0.750  0.750  0.750
Ru  0.250  0.250  0.250
Ru  0.250  0.750  0.750
Ru  0.750  0.250  0.750
Ru  0.750  0.750  0.250

=====

Record 3
This entry pairs a crystal structure of Sr2CuH12Rh3 with its simulated powder diffractogram. Radiation: CuKα. Structure: a PBE-relaxed structure.
Lines closer than 0.1° are merged.

Peak list (6 most intense, 5° ≤ 2θ ≤ 70°, by angle)
2theta	I/Imax
29.4	33
33.3	76
33.8	100
34.8	41
35.0	69
58.3	35

Cell and atoms:
Lattice parameters (Å, degrees): 6.086 6.086 6.086 62.68 62.68 62.68
Fractional coordinates of all 18 atoms:
Sr  0.128  0.128  0.128
Sr  0.872  0.872  0.872
Cu  0.500  0.500  0.500
H  0.159  0.592  0.592
H  0.166  0.166  0.592
H  0.166  0.592  0.166
H  0.408  0.408  0.841
H  0.408  0.834  0.834
H  0.408  0.841  0.408
H  0.592  0.159  0.592
H  0.592  0.166  0.166
H  0.592  0.592  0.159
H  0.834  0.408  0.834
H  0.834  0.834  0.408
H  0.841  0.408  0.408
Rh  0.000  0.500  0.500
Rh  0.500  0.000  0.500
Rh  0.500  0.500  0.000

=====

Record 4
This entry pairs a crystal structure of Ti2CoNi3 with its simulated powder diffractogram. Radiation: CuKα. Structure: a PBE-relaxed structure.
Lines closer than 0.1° are merged.

Peak list (6 most intense, 5° ≤ 2θ ≤ 70°, by angle)
2theta	I/Imax
14.0	18
22.9	19
40.2	24
42.7	44
42.8	16
46.7	100

Cell and atoms:
Lattice parameters (Å, degrees): 7.769 7.769 7.769 119.88 119.88 90.21
Fractional coordinates of all 24 atoms:
Ti  0.273  0.324  0.551
Ti  0.273  0.723  0.949
Ti  0.277  0.727  0.551
Ti  0.324  0.273  0.051
Ti  0.676  0.727  0.949
Ti  0.723  0.273  0.449
Ti  0.727  0.277  0.051
Ti  0.727  0.676  0.449
Co  0.098  0.348  0.750
Co  0.348  0.098  0.250
Co  0.652  0.902  0.750
Co  0.902  0.652  0.250
Ni  0.000  0.500  0.500
Ni  0.096  0.346  0.192
Ni  0.096  0.904  0.750
Ni  0.346  0.096  0.692
Ni  0.346  0.654  0.250
Ni  0.500  0.000  0.000
Ni  0.500  0.500  0.000
Ni  0.500  0.500  0.500
Ni  0.654  0.346  0.750
Ni  0.654  0.904  0.308
Ni  0.904  0.096  0.250
Ni  0.904  0.654  0.808

=====

Record 5
This entry pairs a crystal structure of ZrRu2W with its simulated powder diffractogram. Radiation: CuKα. Structure: a PBE-relaxed structure.
Lines closer than 0.1° are merged.

Peak list (6 most intense, 5° ≤ 2θ ≤ 70°, by angle)
2theta	I/Imax
19.2	19
39.0	100
39.6	96
41.5	84
53.4	20
69.8	35

Cell and atoms:
Lattice parameters (Å, degrees): 6.248 6.858 3.038 90.00 90.00 90.00
Fractional coordinates of all 8 atoms:
Zr  0.000  0.000  0.000
Zr  0.500  0.500  0.000
Ru  0.250  0.250  0.500
Ru  0.250  0.750  0.500
Ru  0.750  0.250  0.500
Ru  0.750  0.750  0.500
W  0.000  0.500  0.000
W  0.500  0.000  0.000

=====

Record 6
This entry pairs a crystal structure of Ac2Ge3Ir4Pb with its simulated powder diffractogram. Radiation: CuKα. Structure: a PBE-relaxed structure.
Lines closer than 0.1° are merged.

Peak list (6 most intense, 5° ≤ 2θ ≤ 70°, by angle)
2theta	I/Imax
31.9	32
33.3	100
41.3	50
46.4	23
59.8	17
63.8	17

Cell and atoms:
Lattice parameters (Å, degrees): 4.372 4.372 10.953 90.00 90.00 90.00
Fractional coordinates of all 10 atoms:
Ac  0.000  0.500  0.244
Ac  0.500  0.000  0.756
Ge  0.000  0.500  0.880
Ge  0.500  0.000  0.120
Ge  0.500  0.500  0.500
Ir  0.000  0.000  0.000
Ir  0.000  0.500  0.654
Ir  0.500  0.000  0.346
Ir  0.500  0.500  0.000
Pb  0.000  0.000  0.500